(1)
For Sr3SmAu4, a cell relaxed with GGA-PBE gives the theoretical PXRD pattern in this record (copper Kα).

Largest 8 diffraction maxima, low angle first, 2θ = 5–70°:
hkl 1 1 0, 5.349 Å, intensity 1; hkl 2 0 0, 3.782 Å, intensity 11; hkl 2 1 1, 3.088 Å, intensity 1; hkl 2 2 0, 2.674 Å, intensity 100; hkl 2 2 2, 2.184 Å, intensity 4; hkl 4 0 0, 1.891 Å, intensity 18; hkl 4 2 0, 1.691 Å, intensity 5; hkl 4 2 2, 1.544 Å, intensity 38

Cell and atoms:
a = 7.564 Å, b = 7.564 Å, c = 7.564 Å
α = 90.00°, β = 90.00°, γ = 90.00°
Space group Im-3m (No. 229)
One atom of each set of equivalent atoms:
Sr1 0.000 0.000 0.500
Sm1 0.000 0.000 0.000
Au1 0.250 0.250 0.250

(2)
For LaW3, a cell relaxed with GGA-PBE gives the theoretical PXRD pattern in this record (copper Kα).

Largest 10 diffraction maxima, low angle first, 2θ = 5–70°:
hkl 0 0 1, 7.868 Å, intensity 34; hkl 0 0 3, 2.623 Å, intensity 7; hkl 1 0 2, 2.483 Å, intensity 100; hkl 1 1 0, 2.264 Å, intensity 52; hkl 1 0 3, 2.029 Å, intensity 22; hkl 1 1 3, 1.714 Å, intensity 7; hkl 1 0 4, 1.676 Å, intensity 7; hkl 2 0 0, 1.601 Å, intensity 18; hkl 1 1 4, 1.485 Å, intensity 8; hkl 2 1 2, 1.346 Å, intensity 30

Cell and atoms:
a = 3.202 Å, b = 3.202 Å, c = 7.868 Å
α = 90.00°, β = 90.00°, γ = 90.00°
Space group P4/mmm (No. 123)
One atom of each set of equivalent atoms:
La1 0.000 0.000 0.000
W1 0.000 0.000 0.500
W2 0.500 0.500 0.309

(3)
For Zn4Cd, a cell relaxed with GGA-PBE gives the theoretical PXRD pattern in this record (copper Kα).

Largest 10 diffraction maxima, low angle first, 2θ = 5–70°:
hkl 1 1 0, 4.502 Å, intensity 2; hkl 1 0 1, 3.474 Å, intensity 4; hkl 2 0 0, 3.183 Å, intensity 3; hkl 1 2 1, 2.347 Å, intensity 100; hkl 0 0 2, 2.073 Å, intensity 17; hkl 3 1 0, 2.013 Å, intensity 31; hkl 3 2 1, 1.624 Å, intensity 1; hkl 1 4 1, 1.447 Å, intensity 1; hkl 3 1 2, 1.444 Å, intensity 20; hkl 2 4 0, 1.424 Å, intensity 9

Cell and atoms:
a = 6.366 Å, b = 6.366 Å, c = 4.146 Å
α = 90.00°, β = 90.00°, γ = 90.00°
Space group I4/m (No. 87)
One atom of each set of equivalent atoms:
Zn1 0.090 0.693 0.000
Cd1 0.000 0.000 0.500

(4)
For Th3Sc2Pb4, a cell relaxed with GGA-PBE gives the theoretical PXRD pattern in this record (copper Kα).

Largest 10 diffraction maxima, low angle first, 2θ = 5–70°:
hkl 1 1 1, 3.538 Å, intensity 23; hkl 3 1 -1, 3.354 Å, intensity 41; hkl 2 0 -3, 3.225 Å, intensity 36; hkl 3 1 0, 2.931 Å, intensity 100; hkl 3 1 -3, 2.729 Å, intensity 68; hkl 1 1 2, 2.627 Å, intensity 41; hkl 0 2 0, 2.504 Å, intensity 54; hkl 5 1 -3, 2.345 Å, intensity 39; hkl 2 2 -3, 1.978 Å, intensity 19; hkl 5 1 -6, 1.557 Å, intensity 21

Cell and atoms:
a = 13.799 Å, b = 5.007 Å, c = 9.834 Å
α = 90.00°, β = 128.20°, γ = 90.00°
Space group C2/m (No. 12)
One atom of each set of equivalent atoms:
Th1 0.000 0.000 0.000
Th2 0.151 0.500 0.711
Sc1 0.145 0.500 0.339
Pb1 0.069 0.000 0.410
Pb2 0.165 0.500 0.049

(5)
For Cs2VPbI6, a cell relaxed with GGA-PBE gives the theoretical PXRD pattern in this record (copper Kα).

Largest 10 diffraction maxima, low angle first, 2θ = 5–70°:
hkl 0 1 2, 7.005 Å, intensity 29; hkl 0 0 12, 3.669 Å, intensity 22; hkl 2 0 5, 3.407 Å, intensity 53; hkl 0 2 7, 3.186 Å, intensity 100; hkl 0 2 10, 2.830 Å, intensity 26; hkl 2 0 11, 2.714 Å, intensity 26; hkl 2 2 0, 2.133 Å, intensity 51; hkl 2 0 17, 2.121 Å, intensity 25; hkl 2 2 12, 1.844 Å, intensity 17; hkl 4 0 7, 1.772 Å, intensity 17

Cell and atoms:
a = 8.5319 Å, b = 8.5319 Å, c = 44.0293 Å
α = 90.00°, β = 90.00°, γ = 120.00°
Space group R-3m (No. 166, hexagonal axes)
One atom of each set of equivalent atoms:
Cs1 0.0000 0.0000 0.1175
Cs2 0.0000 0.0000 0.3009
V1 0.0000 0.0000 0.0000
V2 0.0000 0.0000 0.5000
Pb1 0.0000 0.0000 0.4166
I1 0.0105 0.5052 0.1297
I2 0.0199 0.5099 0.7047

(6)
For Ba4InFe, a cell relaxed with GGA-PBE gives the theoretical PXRD pattern in this record (copper Kα).

Largest 10 diffraction maxima, low angle first, 2θ = 5–70°:
hkl 1 1 1, 5.874 Å, intensity 21; hkl 2 2 0, 3.597 Å, intensity 16; hkl 3 1 1, 3.067 Å, intensity 100; hkl 2 2 2, 2.937 Å, intensity 55; hkl 4 0 0, 2.543 Å, intensity 12; hkl 4 2 2, 2.077 Å, intensity 7; hkl 5 1 1, 1.958 Å, intensity 36; hkl 4 4 0, 1.798 Å, intensity 34; hkl 5 3 3, 1.551 Å, intensity 13; hkl 6 2 2, 1.534 Å, intensity 23

Cell and atoms:
a = 10.173 Å, b = 10.173 Å, c = 10.173 Å
α = 90.00°, β = 90.00°, γ = 90.00°
Space group F-43m (No. 216)
One atom of each set of equivalent atoms:
Ba1 0.125 0.125 0.125
In1 0.000 0.000 0.500
Fe1 0.250 0.250 0.750

(7)
For TaAgPt, a cell relaxed with GGA-PBE gives the theoretical PXRD pattern in this record (copper Kα).

Largest 10 diffraction maxima, low angle first, 2θ = 5–70°:
hkl 0 0 2, 4.268 Å, intensity 8; hkl 0 1 1, 3.683 Å, intensity 6; hkl 1 1 0, 2.345 Å, intensity 100; hkl 0 1 3, 2.334 Å, intensity 98; hkl 1 1 2, 2.055 Å, intensity 5; hkl 0 2 0, 2.041 Å, intensity 33; hkl 1 0 3, 2.019 Å, intensity 64; hkl 1 2 3, 1.435 Å, intensity 42; hkl 2 0 0, 1.432 Å, intensity 11; hkl 0 0 6, 1.423 Å, intensity 10

Cell and atoms:
a = 2.865 Å, b = 4.082 Å, c = 8.537 Å
α = 90.00°, β = 90.00°, γ = 90.00°
Space group Imm2 (No. 44)
One atom of each set of equivalent atoms:
Ta1 0.000 0.000 0.000
Ag1 0.000 0.000 0.672
Pt1 0.000 0.000 0.342

(8)
For Sr3TiSb3, a cell relaxed with GGA-PBE gives the theoretical PXRD pattern in this record (copper Kα).

Largest 10 diffraction maxima, low angle first, 2θ = 5–70°:
hkl 0 2 0, 3.530 Å, intensity 75; hkl 0 0 4, 3.448 Å, intensity 91; hkl 6 0 0, 3.371 Å, intensity 100; hkl 2 2 1, 3.239 Å, intensity 27; hkl 3 1 4, 2.815 Å, intensity 28; hkl 0 2 4, 2.467 Å, intensity 71; hkl 6 2 0, 2.438 Å, intensity 78; hkl 6 0 4, 2.411 Å, intensity 93; hkl 6 2 4, 1.991 Å, intensity 48; hkl 0 0 8, 1.724 Å, intensity 25

Cell and atoms:
a = 20.228 Å, b = 7.059 Å, c = 13.794 Å
α = 90.00°, β = 90.00°, γ = 90.00°
Space group Cmce (No. 64)
One atom of each set of equivalent atoms:
Sr1 0.000 0.191 0.157
Sr2 0.173 0.190 0.867
Ti1 0.081 0.000 0.500
Sb1 0.000 0.235 0.397
Sb2 0.160 0.202 0.619